For KLiSnO2, a crystal structure in Alexandria, relaxed with GGA-PBE gives the theoretical X-ray diffraction stick pattern in this record (Cu Kα (λ = 1.5418 Å)).
Peak positions follow from Bragg's law for the DFT cell and can differ from measured ones.

Structural model:
```
data_KLiSnO2
_chemical_formula_sum 'K2 Li2 Sn2 O4'
_symmetry_space_group_name_H-M 'P 1'
_symmetry_Int_Tables_number 1
_cell_length_a 6.9124
_cell_length_b 6.9124
_cell_length_c 9.9726
_cell_angle_alpha 121.56
_cell_angle_beta 121.56
_cell_angle_gamma 28.29
loop_
_symmetry_equiv_pos_as_xyz
'x,y,z'
loop_
_atom_site_label
_atom_site_type_symbol
_atom_site_fract_x
_atom_site_fract_y
_atom_site_fract_z
K1 K 0.0173 0.0173 0.2333
K2 K 0.9827 0.9827 0.7667
Li1 Li 0.2627 0.2627 0.9249
Li2 Li 0.7373 0.7373 0.0751
Sn1 Sn 0.3086 0.3086 0.3416
Sn2 Sn 0.6914 0.6914 0.6584
O1 O 0.3115 0.3115 0.7650
O2 O 0.3322 0.3322 0.1537
O3 O 0.6678 0.6678 0.8463
O4 O 0.6885 0.6885 0.2350
```

Peak list (10 most intense, 10° ≤ 2θ ≤ 90°, in order of rising 2θ)
| Position (°2θ) | I_rel |
| --- | --- |
| 10.54 | 46 |
| 15.70 | 61 |
| 18.31 | 40 |
| 21.17 | 68 |
| 23.26 | 43 |
| 26.90 | 100 |
| 27.96 | 72 |
| 32.20 | 45 |
| 35.72 | 93 |
| 48.44 | 45 |